For Zn2Pd2Pt5, the PBE geometry in Alexandria gives the computed powder diffraction line list in this record (Cu Kα (λ = 1.5418 Å)).

The 10 most intense peaks (2θ = 5–70°), in order of falling intensity:
| 2θ (°) | intensity |
| --- | --- |
| 39.6 | 100 |
| 39.9 | 97 |
| 45.7 | 33 |
| 45.6 | 33 |
| 47.2 | 30 |
| 66.6 | 22 |
| 67.8 | 20 |
| 67.3 | 10 |
| 68.2 | 9 |
| 24.8 | 8 |

Atomic structure:
a = 8.705 Å, b = 3.968 Å, c = 8.259 Å
α = 90.00°, β = 106.52°, γ = 90.00°
Space group C2/m (No. 12)
Unique sites:
Zn 0.161 0.000 0.382 x4
Pd 0.169 0.000 0.060 x4
Pt 0.000 0.500 0.168 x4
Pt 0.000 0.500 0.500 x2
Pt 0.169 0.000 0.711 x4

***

For Li7SiPO8, the PBE geometry in Alexandria gives the computed powder diffraction line list in this record (Cu Kα (λ = 1.5418 Å)).

The 10 most intense peaks (2θ = 5–70°), in order of falling intensity:
| 2θ (°) | intensity |
| --- | --- |
| 34.9 | 100 |
| 21.7 | 97 |
| 24.0 | 90 |
| 33.6 | 88 |
| 22.4 | 87 |
| 22.2 | 74 |
| 22.5 | 65 |
| 33.0 | 61 |
| 33.7 | 58 |
| 16.6 | 48 |

Atomic structure:
a = 5.138 Å, b = 6.219 Å, c = 10.691 Å
α = 91.25°, β = 90.14°, γ = 90.30°
Space group P1 (No. 1)
Unique sites:
Li 0.000 0.000 0.000 x1
Li 0.004 0.753 0.771 x1
Li 0.082 0.319 0.240 x1
Li 0.300 0.813 0.581 x1
Li 0.355 0.473 0.857 x1
Li 0.370 0.735 0.086 x1
Li 0.478 0.231 0.586 x1
Li 0.487 0.530 0.353 x1
Li 0.529 0.219 0.093 x1
Li 0.617 0.580 0.646 x1
Li 0.747 0.215 0.370 x1
Li 0.846 0.969 0.507 x1
Li 0.854 0.759 0.258 x1
Li 0.980 0.233 0.754 x1
Si 0.016 0.496 0.514 x1
Si 0.340 0.999 0.332 x1
P 0.498 0.987 0.835 x1
P 0.863 0.498 0.005 x1
O 0.020 0.010 0.338 x1
O 0.337 0.499 0.526 x1
O 0.386 0.184 0.764 x1
O 0.391 0.990 0.970 x1
O 0.405 0.775 0.763 x1
O 0.437 0.228 0.266 x1
O 0.454 0.788 0.256 x1
O 0.474 0.001 0.473 x1
O 0.560 0.502 0.003 x1
O 0.801 0.994 0.836 x1
O 0.868 0.294 0.584 x1
O 0.907 0.498 0.368 x1
O 0.931 0.719 0.594 x1
O 0.937 0.288 0.073 x1
O 0.972 0.492 0.868 x1
O 0.974 0.699 0.076 x1

***

What did the first record say?
For Zn2Pd2Pt5, the PBE geometry in Alexandria gives the computed powder diffraction line list in this record (Cu Kα (λ = 1.5418 Å)).

The 10 most intense peaks (2θ = 5–70°), in order of falling intensity:
| 2θ (°) | intensity |
| --- | --- |
| 39.6 | 100 |
| 39.9 | 97 |
| 45.7 | 33 |
| 45.6 | 33 |
| 47.2 | 30 |
| 66.6 | 22 |
| 67.8 | 20 |
| 67.3 | 10 |
| 68.2 | 9 |
| 24.8 | 8 |

Atomic structure:
a = 8.705 Å, b = 3.968 Å, c = 8.259 Å
α = 90.00°, β = 106.52°, γ = 90.00°
Space group C2/m (No. 12)
Unique sites:
Zn 0.161 0.000 0.382 x4
Pd 0.169 0.000 0.060 x4
Pt 0.000 0.500 0.168 x4
Pt 0.000 0.500 0.500 x2
Pt 0.169 0.000 0.711 x4